1.
For KGe2Te3, the PBE geometry in Alexandria gives the simulated powder diffraction line list in this record (copper Kα).

Most intense lines, 15 to 90 degrees two-theta, low angle first:
2θ/deg  intensity
17.4  55
24.1  53
26.1  100
32.9  90
41.2  50
43.6  72

Structural model:
Lattice parameters (Å, degrees): 5.4383 14.7957 5.4374 90.00 90.00 90.00
Element x y z (fractional)
K 0.2500 0.2500 0.2490
K 0.7500 0.7500 0.7510
Ge 0.2500 0.5647 0.2501
Ge 0.2500 0.9353 0.2501
Ge 0.7500 0.0647 0.7499
Ge 0.7500 0.4353 0.7499
Te 0.2500 0.0001 0.7503
Te 0.2500 0.4999 0.7503
Te 0.2500 0.7500 0.2506
Te 0.7500 0.9999 0.2497
Te 0.7500 0.2500 0.7494
Te 0.7500 0.5001 0.2497

***

2.
For Pr2Zn2SnPt5, the PBE geometry in Alexandria gives the simulated powder diffraction line list in this record (copper Kα).

Most intense lines, 15 to 90 degrees two-theta, low angle first:
2θ/deg  intensity
30.7  29
34.5  33
36.9  100
37.3  57
40.2  45
47.1  29

Structural model:
Lattice parameters (Å, degrees): 9.9320 9.9320 3.8620 90.00 90.00 90.00
Element x y z (fractional)
Pr 0.1789 0.3211 0.0000
Pr 0.3211 0.8211 0.0000
Pr 0.6789 0.1789 0.0000
Pr 0.8211 0.6789 0.0000
Zn 0.1181 0.6181 0.0000
Zn 0.3819 0.1181 0.0000
Zn 0.6181 0.8819 0.0000
Zn 0.8819 0.3819 0.0000
Sn 0.0000 0.0000 0.0000
Sn 0.5000 0.5000 0.0000
Pt 0.0000 0.5000 0.5000
Pt 0.0622 0.7892 0.5000
Pt 0.2108 0.0622 0.5000
Pt 0.2892 0.5622 0.5000
Pt 0.4378 0.2892 0.5000
Pt 0.5000 0.0000 0.5000
Pt 0.5622 0.7108 0.5000
Pt 0.7108 0.4378 0.5000
Pt 0.7892 0.9378 0.5000
Pt 0.9378 0.2108 0.5000

***

3.
For Pm10Y4Pu, the PBE geometry in Alexandria gives the simulated powder diffraction line list in this record (copper Kα).

Most intense lines, 15 to 90 degrees two-theta, low angle first:
2θ/deg  intensity
26.8  100
28.5  83
28.7  99
32.5  59
33.4  96
41.0  46

Structural model:
Lattice parameters (Å, degrees): 8.7510 8.7510 8.7510 111.52 111.52 105.44
Element x y z (fractional)
Pm 0.0441 0.9467 0.6739
Pm 0.0533 0.7272 0.0974
Pm 0.2500 0.7500 0.5000
Pm 0.2728 0.3702 0.3261
Pm 0.3702 0.0441 0.0974
Pm 0.6298 0.9559 0.9026
Pm 0.7272 0.6298 0.6739
Pm 0.7500 0.2500 0.5000
Pm 0.9467 0.2728 0.9026
Pm 0.9559 0.0533 0.3261
Y 0.1750 0.5596 0.7346
Y 0.4404 0.1750 0.6154
Y 0.5596 0.8250 0.3846
Y 0.8250 0.4404 0.2654
Pu 0.5000 0.5000 0.0000